(1)
Computed X-ray diffraction stick pattern
Compound: Rb3Li2ReO6
Radiation: Cu Kα (weighted mean of Kα1 and Kα2)
Structure: a structure optimized by DFT (GGA-PBE)

Crystal structure
```
Rb3Li2ReO6
1.0
2.8809 -5.1858 0.0000
2.8809 5.1858 0.0000
-1.4774 0.0000 6.1562
Rb Li Re O
3 2 1 6
Cartesian
0.0000 0.0000 0.0000 Rb
2.8809 1.8914 0.0000 Rb
2.8809 -1.8914 0.0000 Rb
2.1422 3.0016 3.0781 Li
2.1422 -3.0016 3.0781 Li
2.1422 0.0000 3.0781 Re
1.1658 1.4070 2.1422 O
0.8197 0.0000 4.4127 O
1.1658 -1.4070 2.1422 O
3.1186 1.4070 4.0141 O
3.4647 0.0000 1.7435 O
3.1186 -1.4070 4.0141 O
```

The 8 most intense peaks (10° ≤ 2θ ≤ 90°), by angle:
2theta	d (Å)	intensity
17.99	4.930	78
20.64	4.303	67
22.42	3.966	51
29.01	3.078	52
31.94	2.802	38
32.07	2.791	66
35.39	2.536	100
38.05	2.365	41


(2)
Computed X-ray diffraction stick pattern
Compound: RbLi3S4O12
Radiation: Cu Kα (weighted mean of Kα1 and Kα2)
Structure: a structure optimized by DFT (GGA-PBE)

Crystal structure
```
RbLi3S4O12
1.0
5.2427 3.0269 2.9364
-5.2427 3.0269 2.9364
0.0000 -6.0537 2.9364
Rb Li S O
1 3 4 12
Cartesian
0.0000 0.0000 0.0000 Rb
-3.0030 -0.8523 2.9364 Li
2.2396 -2.1745 2.9364 Li
0.7634 3.0268 2.9364 Li
-2.1545 -3.7317 4.4046 S
0.0000 0.0000 4.4046 S
-2.1545 3.7317 4.4046 S
4.3090 0.0000 4.4046 S
-2.9871 -2.5265 4.0826 O
-4.6697 0.0000 4.4046 O
-0.6945 -3.8501 4.7266 O
-1.4910 0.0000 4.4046 O
-2.9871 2.5265 4.7266 O
2.3348 -4.0441 4.4046 O
0.7455 -1.2913 4.4046 O
-0.6945 3.8501 4.0826 O
0.7455 1.2913 4.4046 O
3.6815 -1.3236 4.0826 O
2.3348 4.0441 4.4046 O
3.6815 1.3236 4.7266 O
```

The 8 most intense peaks (10° ≤ 2θ ≤ 90°), by angle:
2theta	d (Å)	intensity
14.01	6.323	21
16.91	5.243	42
28.23	3.161	100
29.51	3.027	24
33.09	2.707	52
35.03	2.562	28
37.13	2.421	33
45.79	1.982	26


(3)
Computed X-ray diffraction stick pattern
Compound: RbLiSbO4
Radiation: Cu Kα (weighted mean of Kα1 and Kα2)
Structure: a structure optimized by DFT (GGA-PBE)

Crystal structure
```
RbLiSbO4
1.0
-2.9695 2.9695 4.0516
2.9695 -2.9695 4.0516
2.9695 2.9695 -4.0516
Rb Li Sb O
1 1 1 4
Cartesian
0.0000 0.0000 0.0000 Rb
2.9695 0.0000 2.0258 Li
0.0000 0.0000 4.0516 Sb
1.4128 -0.6932 2.9739 O
2.2763 1.5567 1.0778 O
1.5567 3.6628 -1.0778 O
0.6932 1.4128 5.1294 O
```

The 8 most intense peaks (10° ≤ 2θ ≤ 90°), by angle:
2theta	d (Å)	intensity
18.52	4.790	23
21.16	4.200	100
21.94	4.052	41
30.09	2.970	32
30.66	2.916	87
37.55	2.395	46
48.85	1.864	20
53.80	1.704	34


(4)
Computed X-ray diffraction stick pattern
Compound: Rb4LiSe4O14
Radiation: Cu Kα (weighted mean of Kα1 and Kα2)
Structure: a structure optimized by DFT (GGA-PBE)

Crystal structure
```
Rb4LiSe4O14
1.0
7.0899 -4.1579 0.0000
7.0899 4.1579 0.0000
-0.6888 0.0000 7.8276
Rb Li Se O
4 1 4 14
Cartesian
1.8672 0.0000 3.2690 Rb
4.7680 -1.6402 1.1236 Rb
11.6238 0.0000 4.5586 Rb
8.7230 -1.6402 6.7040 Rb
7.0899 0.4203 0.0000 Li
5.5800 3.0935 0.7916 Se
7.9110 3.0935 7.0360 Se
5.2268 -0.0079 4.9406 Se
8.2642 -0.0079 2.8870 Se
0.2822 -0.1743 5.7568 O
4.8195 1.6757 1.1143 O
2.2352 -0.1216 0.3509 O
4.0652 1.1757 5.2575 O
7.0899 2.3607 0.0000 O
6.7455 0.6173 3.9138 O
8.6715 1.6757 6.7132 O
4.5343 -1.2464 4.0450 O
5.8060 -0.6696 6.4058 O
9.4257 1.1757 2.5700 O
7.6850 -0.6696 1.4218 O
8.9567 -1.2464 3.7826 O
11.2557 -0.1216 7.4767 O
13.2087 -0.1743 2.0708 O
```

The 8 most intense peaks (10° ≤ 2θ ≤ 90°), by angle:
2theta	d (Å)	intensity
21.37	4.158	40
24.24	3.672	67
25.03	3.558	82
25.24	3.528	88
26.96	3.307	100
27.84	3.204	39
34.52	2.598	37
36.00	2.495	20


(5)
Computed X-ray diffraction stick pattern
Compound: Rb4LiSe4O14
Radiation: Cu Kα (weighted mean of Kα1 and Kα2)
Structure: a structure optimized by DFT (GGA-PBE)

Crystal structure
```
Rb4LiSe4O14
1.0
7.7967 0.0000 0.0000
0.7583 7.9750 0.0000
0.4092 2.9730 7.6179
Rb Li Se O
4 1 4 14
Cartesian
1.3886 1.2740 1.7638 Rb
3.0209 4.5698 4.8146 Rb
5.9433 6.3782 2.8034 Rb
7.5756 9.6740 5.8541 Rb
4.2775 3.9875 0.0000 Li
1.7348 5.5373 1.5300 Se
3.5787 8.8266 5.8662 Se
5.3854 2.1214 1.7517 Se
7.2294 5.4106 6.0880 Se
0.6333 4.3874 6.6138 O
1.1670 4.2459 2.4011 O
2.5198 9.2847 4.6586 O
2.4587 4.8278 0.0814 O
2.9313 6.3665 2.3325 O
4.6193 10.0600 6.2890 O
4.4383 7.4066 5.5720 O
4.5259 3.5414 2.0460 O
4.3449 0.8879 1.3289 O
6.0329 4.5815 5.2855 O
6.5055 6.1202 7.5365 O
6.4443 1.6633 2.9594 O
7.7972 6.7020 5.2168 O
8.3309 6.5606 1.0042 O
```

The 8 most intense peaks (10° ≤ 2θ ≤ 90°), by angle:
2theta	d (Å)	intensity
22.49	3.953	66
23.35	3.809	77
24.26	3.668	63
25.57	3.484	68
25.93	3.436	100
30.36	2.944	44
31.96	2.800	35
34.78	2.579	24


(6)
Computed X-ray diffraction stick pattern
Compound: Rb4LiSe4O14
Radiation: Cu Kα (weighted mean of Kα1 and Kα2)
Structure: a structure optimized by DFT (GGA-PBE)

Crystal structure
```
Rb4LiSe4O14
1.0
7.8993 0.0000 0.0000
0.3076 7.8948 0.0000
0.2683 3.1851 7.2921
Rb Li Se O
4 1 4 14
Cartesian
0.0000 0.0000 0.0000 Rb
1.6320 4.3772 2.2296 Rb
4.1967 1.3589 1.8096 Rb
5.8529 5.5169 4.3836 Rb
2.4801 8.6532 4.3610 Li
1.7313 6.2645 5.6867 Se
4.4775 9.9572 6.3479 Se
5.7893 4.4227 0.6664 Se
7.9844 9.2498 3.5288 Se
0.5979 8.8851 5.1117 O
0.8260 5.0280 4.9827 O
1.2458 1.3179 2.6712 O
2.4182 5.7390 7.1309 O
2.9371 6.7491 4.5880 O
3.0471 6.7509 0.2247 O
3.8930 9.9001 4.7984 O
4.5736 4.3692 1.7816 O
5.3345 8.3460 6.4101 O
5.2898 3.2472 6.5735 O
6.1997 2.9593 0.0343 O
6.9490 8.0842 2.9332 O
7.0295 5.4041 1.1189 O
7.0025 2.8705 3.4331 O
```

The 8 most intense peaks (10° ≤ 2θ ≤ 90°), by angle:
2theta	d (Å)	intensity
22.50	3.951	44
24.61	3.617	91
24.84	3.584	54
25.41	3.505	76
25.57	3.484	79
26.02	3.424	100
26.75	3.333	44
33.66	2.663	37


(7)
Computed X-ray diffraction stick pattern
Compound: Rb2LiSe2O6
Radiation: Cu Kα (weighted mean of Kα1 and Kα2)
Structure: a structure optimized by DFT (GGA-PBE)

Crystal structure
```
Rb2LiSe2O6
1.0
3.0322 1.7506 7.1094
-3.0322 1.7506 7.1094
0.0000 -3.5012 7.1094
Rb Li Se O
2 1 2 6
Cartesian
0.0000 0.0000 5.0140 Rb
0.0000 0.0000 16.3143 Rb
0.0000 0.0000 10.6642 Li
0.0000 0.0000 1.6222 Se
0.0000 0.0000 19.7061 Se
-1.6580 -0.9572 11.9730 O
0.0000 -1.9145 9.3553 O
-1.6580 0.9572 9.3553 O
1.6580 -0.9572 11.9730 O
0.0000 1.9145 11.9730 O
1.6580 0.9572 9.3553 O
```

The 8 most intense peaks (10° ≤ 2θ ≤ 90°), by angle:
2theta	d (Å)	intensity
17.39	5.100	100
25.05	3.555	71
29.46	3.032	98
34.02	2.635	43
39.05	2.307	73
45.61	1.989	35
58.80	1.570	22
67.12	1.395	22


(8)
Computed X-ray diffraction stick pattern
Compound: RbLi2Se2O6
Radiation: Cu Kα (weighted mean of Kα1 and Kα2)
Structure: a structure optimized by DFT (GGA-PBE)

Crystal structure
```
RbLi2Se2O6
1.0
5.5383 0.0000 0.0000
-2.5608 5.2187 0.0000
-0.6967 -2.7572 6.9811
Rb Li Se O
1 2 2 6
Cartesian
0.0000 0.0000 0.0000 Rb
-0.2359 3.1290 1.0944 Li
2.5167 -0.6675 5.8866 Li
-0.2880 1.0945 4.8655 Se
2.5688 1.3669 2.1156 Se
-1.1656 0.1127 5.9776 O
0.9455 1.8266 1.9280 O
-0.4252 2.6649 5.5288 O
2.7060 -0.2034 1.4523 O
1.3353 0.6348 5.0530 O
3.4465 2.3487 1.0034 O
```

The 8 most intense peaks (10° ≤ 2θ ≤ 90°), by angle:
2theta	d (Å)	intensity
18.02	4.922	100
23.66	3.760	65
25.02	3.559	82
25.37	3.510	29
27.49	3.245	59
32.47	2.757	41
36.83	2.441	30
37.04	2.427	27


(9)
Computed X-ray diffraction stick pattern
Compound: Rb4LiSe4O14
Radiation: Cu Kα (weighted mean of Kα1 and Kα2)
Structure: a structure optimized by DFT (GGA-PBE)

Crystal structure
```
Rb4LiSe4O14
1.0
7.9124 0.0000 0.0000
-3.8855 7.0544 0.0000
-0.0184 -0.3098 8.0932
Rb Li Se O
4 1 4 14
Cartesian
0.0000 0.0000 0.0000 Rb
-2.5664 5.1369 3.5594 Rb
1.7438 3.0248 1.9374 Rb
0.7204 5.5710 5.8286 Rb
-0.4445 2.1528 6.1102 Li
2.6522 2.1034 5.7691 Se
0.3246 6.6427 1.7103 Se
5.1179 3.3526 7.5796 Se
6.7362 1.1473 3.7885 Se
-1.3608 2.5559 7.7975 O
0.0303 0.6290 2.7368 O
-0.8281 2.7616 4.2431 O
-1.2261 6.8553 1.1308 O
1.3952 2.4112 6.8255 O
2.6275 0.5845 5.1602 O
0.3512 5.5290 2.9606 O
1.3646 6.1100 0.5129 O
2.8596 3.3482 4.7132 O
4.7024 1.1222 2.2935 O
4.1580 1.9696 6.8124 O
4.3326 4.0908 0.8545 O
6.9261 0.3213 5.2877 O
5.2231 4.5728 6.4811 O
```

The 8 most intense peaks (10° ≤ 2θ ≤ 90°), by angle:
2theta	d (Å)	intensity
22.10	4.023	25
24.39	3.649	15
25.04	3.557	37
25.26	3.526	55
25.72	3.464	100
27.21	3.278	21
28.03	3.184	20
42.98	2.104	13


(10)
Computed X-ray diffraction stick pattern
Compound: Rb4LiSe4O14
Radiation: Cu Kα (weighted mean of Kα1 and Kα2)
Structure: a structure optimized by DFT (GGA-PBE)

Crystal structure
```
Rb4LiSe4O14
1.0
7.1672 0.0000 0.0000
0.0671 7.9671 0.0000
2.7437 1.5410 7.9228
Rb Li Se O
4 1 4 14
Cartesian
0.0000 0.0000 0.0000 Rb
1.7933 4.0753 4.1728 Rb
3.9327 1.7414 1.5197 Rb
6.3210 5.9902 6.9225 Rb
3.6531 7.4190 5.4886 Li
0.2143 3.7553 0.2597 Se
4.7693 5.7128 2.6044 Se
5.7185 1.9680 5.1998 Se
8.2007 8.0622 3.9511 Se
2.0869 8.6896 5.0711 O
1.5987 8.1462 2.4151 O
3.2993 6.6489 7.2318 O
1.5215 2.7067 0.1900 O
4.0208 6.2007 4.0548 O
3.7022 4.6309 1.8743 O
5.1966 8.6316 6.0459 O
4.5806 2.7478 4.3120 O
5.0167 7.0388 1.5941 O
6.7397 2.9086 6.0800 O
6.7514 1.3029 3.8108 O
7.5369 6.6298 4.4060 O
8.7814 4.4957 7.5699 O
7.1150 4.2495 1.8401 O
```

The 8 most intense peaks (10° ≤ 2θ ≤ 90°), by angle:
2theta	d (Å)	intensity
21.99	4.041	86
23.10	3.850	78
25.67	3.470	92
26.31	3.388	100
26.42	3.374	33
26.94	3.310	92
28.86	3.094	35
29.63	3.015	81


(11)
Computed X-ray diffraction stick pattern
Compound: Rb4LiSe4O14
Radiation: Cu Kα (weighted mean of Kα1 and Kα2)
Structure: a structure optimized by DFT (GGA-PBE)

Crystal structure
```
Rb4LiSe4O14
1.0
7.8096 0.0000 0.0000
0.6229 8.0100 0.0000
3.5892 1.0569 7.3389
Rb Li Se O
4 1 4 14
Cartesian
0.0000 0.0000 0.0000 Rb
2.0776 3.9730 3.6786 Rb
6.5797 7.1555 4.5048 Rb
5.7346 2.7151 1.9293 Rb
10.1495 7.1217 5.6612 Li
2.3758 8.1794 3.2144 Se
4.1934 5.0300 7.0852 Se
6.6890 3.2747 5.7594 Se
4.7771 6.5790 1.1569 Se
2.5263 0.8303 4.5892 O
4.1552 6.3165 6.0231 O
5.8844 4.3757 7.0725 O
3.2673 7.3543 0.9738 O
5.6018 2.0980 5.3644 O
4.5994 5.3309 2.2459 O
5.9129 7.6762 1.7082 O
6.9913 4.2754 4.4810 O
8.0105 2.8379 6.6176 O
8.7822 7.0608 6.9748 O
9.3731 6.8232 3.8579 O
8.4303 1.2691 2.6218 O
8.2533 4.4406 1.3109 O
10.9683 3.8355 6.6146 O
```

The 8 most intense peaks (10° ≤ 2θ ≤ 90°), by angle:
2theta	d (Å)	intensity
21.98	4.044	73
22.43	3.964	30
23.02	3.864	29
25.33	3.516	100
25.71	3.465	65
25.89	3.441	62
30.77	2.906	36
32.01	2.796	36